(1)
For Al2O3, a DFT-relaxed cell (PBE, Alexandria) gives the computed XRD peak list in this record (CuKα).
Lines closer than 0.1° are merged.

Crystal structure
```
data_Al2O3
_space_group_name_H-M_alt 'R 3 m'
_space_group_IT_number 160
_space_group_name_Hall 'R 3 -2"'
_cell_length_a 3.0347
_cell_length_b 3.0347
_cell_length_c 17.4965
_cell_angle_alpha 90.00
_cell_angle_beta 90.00
_cell_angle_gamma 120.00
loop_
_atom_site_label
_atom_site_type_symbol
_atom_site_fract_x
_atom_site_fract_y
_atom_site_fract_z
_atom_site_occupancy
Al1 Al 0.0000 0.0000 0.0000 1
Al2 Al 0.0000 0.0000 0.4998 1
O1 O 0.0000 0.0000 0.1647 1
O2 O 0.0000 0.0000 0.3864 1
O3 O 0.0000 0.0000 0.6108 1
```

Principal peaks in the range 5° ≤ 2θ ≤ 70°, in order of rising 2θ:
h k l, 2theta, intensity
0 0 6, 30.7, 55
1 0 1, 34.5, 19
0 1 2, 35.7, 100
0 1 5, 43.0, 31
0 1 8, 54.6, 51
1 1 0, 61.1, 63
1 0 10, 63.9, 33
1 1 6, 69.9, 29


(2)
For LaBi3Au8, a DFT-relaxed cell (PBE, Alexandria) gives the computed XRD peak list in this record (CuKα).
Lines closer than 0.1° are merged.

Crystal structure
```
data_LaBi3Au8
_space_group_name_H-M_alt 'R 3 m'
_space_group_IT_number 160
_space_group_name_Hall 'R 3 -2"'
_cell_length_a 5.7231
_cell_length_b 5.7231
_cell_length_c 28.4261
_cell_angle_alpha 90.00
_cell_angle_beta 90.00
_cell_angle_gamma 120.00
loop_
_atom_site_label
_atom_site_type_symbol
_atom_site_fract_x
_atom_site_fract_y
_atom_site_fract_z
_atom_site_occupancy
La1 La 0.0000 0.0000 0.0000 1
Bi1 Bi 0.0000 0.0000 0.1290 1
Bi2 Bi 0.0000 0.0000 0.4984 1
Bi3 Bi 0.0000 0.0000 0.6210 1
Au1 Au 0.0000 0.0000 0.3131 1
Au2 Au 0.0000 0.0000 0.8124 1
Au3 Au 0.0014 0.5007 0.5631 1
Au4 Au 0.1672 0.3343 0.3955 1
```

Principal peaks in the range 5° ≤ 2θ ≤ 70°, in order of rising 2θ:
h k l, 2theta, intensity
1 0 10, 36.4, 49
1 1 6, 36.7, 100
2 0 2, 36.8, 49
0 2 4, 38.5, 62
2 1 10, 59.1, 25
3 0 6, 59.2, 25
0 2 16, 64.5, 29
2 2 0, 65.2, 30


(3)
For Tb2Nd12Y, a DFT-relaxed cell (PBE, Alexandria) gives the computed XRD peak list in this record (CuKα).
Lines closer than 0.1° are merged.

Crystal structure
```
data_Tb2Nd12Y
_space_group_name_H-M_alt 'C m m e'
_space_group_IT_number 67
_space_group_name_Hall '-C 2a 2'
_cell_length_a 7.221
_cell_length_b 11.667
_cell_length_c 25.092
_cell_angle_alpha 90.00
_cell_angle_beta 90.00
_cell_angle_gamma 90.00
loop_
_atom_site_label
_atom_site_type_symbol
_atom_site_fract_x
_atom_site_fract_y
_atom_site_fract_z
_atom_site_occupancy
Tb1 Tb 0.000 0.250 0.228 1
Tb2 Tb 0.000 0.250 0.767 1
Nd1 Nd 0.000 0.002 0.575 1
Nd2 Nd 0.000 0.024 0.060 1
Nd3 Nd 0.231 0.250 0.915 1
Nd4 Nd 0.249 0.250 0.370 1
Nd5 Nd 0.250 0.000 0.175 1
Nd6 Nd 0.250 0.000 0.301 1
Y1 Y 0.000 0.250 0.499 1
```

Principal peaks in the range 5° ≤ 2θ ≤ 70°, in order of rising 2θ:
h k l, 2theta, intensity
2 0 4, 28.5, 29
0 2 7, 29.2, 48
2 2 2, 30.0, 87
0 4 0, 30.7, 73
0 2 8, 32.4, 100
2 2 6, 36.3, 35
2 4 11, 57.3, 21
4 4 0, 60.3, 20


(4)
For Rb3NdNp3Se8, a DFT-relaxed cell (PBE, Alexandria) gives the computed XRD peak list in this record (CuKα).
Lines closer than 0.1° are merged.

Crystal structure
```
data_Rb3NdNp3Se8
_space_group_name_H-M_alt 'C 1 2/m 1'
_space_group_IT_number 12
_space_group_name_Hall '-C 2y'
_cell_length_a 14.760
_cell_length_b 8.527
_cell_length_c 9.463
_cell_angle_alpha 90.00
_cell_angle_beta 121.30
_cell_angle_gamma 90.00
loop_
_atom_site_label
_atom_site_type_symbol
_atom_site_fract_x
_atom_site_fract_y
_atom_site_fract_z
_atom_site_occupancy
Rb1 Rb 0.000 0.000 0.000 1
Rb2 Rb 0.250 0.250 0.000 1
Nd1 Nd 0.000 0.000 0.500 1
Np1 Np 0.000 0.500 0.500 1
Np2 Np 0.250 0.250 0.500 1
Se1 Se 0.021 0.257 0.306 1
Se2 Se 0.231 0.500 0.693 1
Se3 Se 0.236 0.000 0.694 1
```

Principal peaks in the range 5° ≤ 2θ ≤ 70°, in order of rising 2θ:
h k l, 2theta, intensity
0 0 1, 10.9, 66
4 0 0, 28.3, 100
4 0 1, 35.5, 22
4 0 -4, 38.4, 35
0 4 0, 42.4, 36
6 2 -1, 43.9, 14
8 0 -4, 51.8, 19
8 4 -4, 69.1, 16